Calculated powder diffractogram
Compound: Al7W5
Radiation: CuKα
Structure: a DFT-relaxed cell (GGA-PBE, OQMD)
Peak positions follow from Bragg's law for the DFT cell and can differ from measured ones.

Structure:
a = 5.1926 Å, b = 5.1926 Å, c = 16.6084 Å
α = 90.00°, β = 90.00°, γ = 120.00°
Atoms (fractional coordinates):
Al 0.0000 0.0000 0.0838
Al 0.0000 0.0000 0.4162
Al 0.0000 0.0000 0.5838
Al 0.0000 0.0000 0.9162
Al 0.1624 0.3247 0.2500
Al 0.1624 0.8376 0.2500
Al 0.3247 0.1624 0.7500
Al 0.3333 0.6667 0.1277
Al 0.3333 0.6667 0.3723
Al 0.6667 0.3333 0.6277
Al 0.6667 0.3333 0.8723
Al 0.6753 0.8376 0.2500
Al 0.8376 0.1624 0.7500
Al 0.8376 0.6753 0.7500
W 0.0000 0.5000 0.0000
W 0.0000 0.5000 0.5000
W 0.3333 0.6667 0.6678
W 0.3333 0.6667 0.8322
W 0.5000 0.0000 0.0000
W 0.5000 0.0000 0.5000
W 0.5000 0.5000 0.0000
W 0.5000 0.5000 0.5000
W 0.6667 0.3333 0.1678
W 0.6667 0.3333 0.3322

Principal peaks in the range 10° ≤ 2θ ≤ 90°, sorted by position:
d_spacing	2theta	I (rel.)	hkl
8.304	10.7	75.6	0 0 2
4.497	19.7	67.4	1 0 0
4.341	20.5	56.6	1 0 1
4.152	21.4	25.6	0 0 4
2.768	32.3	39.9	0 0 6
2.478	36.3	29.3	1 1 2
2.357	38.2	48.4	1 0 6
2.201	41.0	44.6	1 1 4
2.170	41.6	100.0	2 0 2
1.977	45.9	53.1	2 0 4